(1)
For Cs3Ag2PdI6, the PBE geometry in Alexandria gives the simulated XRD peak list in this record (Cu Kα (weighted mean of Kα1 and Kα2)).
Intensities are scaled so that the largest is 100.

Atomic structure:
```
Cs3Ag2PdI6
1.0
8.7337 0.0000 0.0000
-4.3669 7.5636 0.0000
0.0000 0.0000 9.7527
Cs Ag Pd I
3 2 1 6
Cartesian
0.0000 0.0000 0.0000 Cs
0.0000 5.0424 6.2987 Cs
4.3669 2.5212 3.4540 Cs
0.0000 5.0424 2.6428 Ag
4.3669 2.5212 7.1098 Ag
0.0000 0.0000 4.8763 Pd
0.0000 2.3191 3.0546 I
-2.3585 6.4041 3.0546 I
2.0084 1.1596 6.6981 I
2.3585 6.4041 3.0546 I
6.7253 1.1596 6.6981 I
4.3669 5.2445 6.6981 I
```

Principal peaks in the range 2θ from 10° to 90°, sorted by position:
2θ = 14.82°, rel. 20; 2θ = 18.19°, rel. 21; 2θ = 20.34°, rel. 35; 2θ = 25.26°, rel. 67; 2θ = 27.43°, rel. 27; 2θ = 29.90°, rel. 100; 2θ = 36.44°, rel. 36; 2θ = 41.35°, rel. 45; 2θ = 50.34°, rel. 25; 2θ = 51.86°, rel. 21

***

(2)
For Cs3SrAg2I6, the PBE geometry in Alexandria gives the simulated XRD peak list in this record (Cu Kα (weighted mean of Kα1 and Kα2)).
Intensities are scaled so that the largest is 100.

Atomic structure:
```
Cs3SrAg2I6
1.0
9.1141 0.0000 0.0000
-4.5571 7.8931 0.0000
0.0000 0.0000 9.6124
Cs Sr Ag I
3 1 2 6
Cartesian
0.0000 0.0000 0.0000 Cs
0.0000 5.2621 6.0041 Cs
4.5571 2.6310 3.6084 Cs
0.0000 0.0000 4.8062 Sr
0.0000 5.2621 1.6638 Ag
4.5571 2.6310 7.9487 Ag
0.0000 2.6322 2.8539 I
-2.2775 6.5770 2.8539 I
2.2795 1.3161 6.7586 I
2.2775 6.5770 2.8539 I
6.8346 1.3161 6.7586 I
4.5571 5.2609 6.7586 I
```

Principal peaks in the range 2θ from 10° to 90°, sorted by position:
2θ = 14.52°, rel. 30; 2θ = 19.48°, rel. 31; 2θ = 21.65°, rel. 24; 2θ = 22.53°, rel. 17; 2θ = 24.38°, rel. 71; 2θ = 29.28°, rel. 100; 2θ = 39.55°, rel. 51; 2θ = 44.12°, rel. 24; 2θ = 49.96°, rel. 22; 2θ = 65.52°, rel. 19